Structure and computed XRD peak list of Cr2Ir2Rh (a cell relaxed with GGA-PBE; Cu Kα (λ = 1.5418 Å)).
No peak broadening, texture or thermal motion is included.

Cell and atoms:
```
data_Cr2Ir2Rh
_chemical_formula_sum 'Cr8 Ir8 Rh4'
_cell_length_a 4.2752
_cell_length_b 5.3670
_cell_length_c 12.0346
_cell_angle_alpha 90.00
_cell_angle_beta 90.00
_cell_angle_gamma 90.00
_symmetry_space_group_name_H-M 'I m m a'
_symmetry_Int_Tables_number 74
_symmetry_space_group_name_Hall '-I 2b 2'
loop_
_atom_site_label
_atom_site_type_symbol
_atom_site_fract_x
_atom_site_fract_y
_atom_site_fract_z
Cr1 Cr 0.0000 0.0067 0.1904
Ir1 Ir 0.0000 0.2500 0.0003
Ir2 Ir 0.0000 0.2500 0.3693
Rh1 Rh 0.0000 0.2500 0.6302
```

Principal peaks in the range 2θ from 5° to 70°, sorted by position:
- d 2.925, 30.6°, intensity 66
- d 2.683, 33.4°, intensity 32
- d 2.451, 36.7°, intensity 22
- d 2.138, 42.3°, intensity 42
- d 2.097, 43.1°, intensity 48
- d 2.005, 45.2°, intensity 12
- d 1.978, 45.9°, intensity 100
- d 1.672, 54.9°, intensity 17
- d 1.653, 55.6°, intensity 15
- d 1.611, 57.2°, intensity 12

***

Structure and computed XRD peak list of CrIr2Rh4 (a cell relaxed with GGA-PBE; Cu Kα (λ = 1.5418 Å)).
No peak broadening, texture or thermal motion is included.

Cell and atoms:
```
data_CrIr2Rh4
_chemical_formula_sum 'Cr4 Ir8 Rh16'
_cell_length_a 2.7197
_cell_length_b 12.4862
_cell_length_c 12.0437
_cell_angle_alpha 90.00
_cell_angle_beta 90.00
_cell_angle_gamma 90.00
_symmetry_space_group_name_H-M 'C m c m'
_symmetry_Int_Tables_number 63
_symmetry_space_group_name_Hall '-C 2c 2'
loop_
_atom_site_label
_atom_site_type_symbol
_atom_site_fract_x
_atom_site_fract_y
_atom_site_fract_z
Cr1 Cr 0.0000 0.2001 0.2500
Ir1 Ir 0.0000 0.3656 0.1403
Rh1 Rh 0.0000 0.0000 0.0000
Rh2 Rh 0.0000 0.3162 0.5757
Rh3 Rh 0.0000 0.4588 0.7500
```

Principal peaks in the range 2θ from 5° to 70°, sorted by position:
- d 5.543, 16.0°, intensity 53
- d 2.657, 33.7°, intensity 53
- d 2.277, 39.6°, intensity 85
- d 2.247, 40.1°, intensity 100
- d 2.167, 41.7°, intensity 82
- d 2.130, 42.4°, intensity 44
- d 2.051, 44.2°, intensity 60
- d 1.992, 45.5°, intensity 36
- d 1.817, 50.2°, intensity 80
- d 1.785, 51.2°, intensity 48

***

Structure and computed XRD peak list of Cr2Ir4Rh5 (a cell relaxed with GGA-PBE; Cu Kα (λ = 1.5418 Å)).
No peak broadening, texture or thermal motion is included.

Cell and atoms:
```
data_Cr2Ir4Rh5
_chemical_formula_sum 'Cr2 Ir4 Rh5'
_cell_length_a 6.7677
_cell_length_b 2.6980
_cell_length_c 8.5453
_cell_angle_alpha 90.00
_cell_angle_beta 94.32
_cell_angle_gamma 90.00
_symmetry_space_group_name_H-M 'P 1 2/m 1'
_symmetry_Int_Tables_number 10
loop_
_symmetry_equiv_pos_as_xyz
'x,y,z'
'-x,-y,-z'
'-x,y,-z'
'x,-y,z'
loop_
_atom_site_label
_atom_site_type_symbol
_atom_site_fract_x
_atom_site_fract_y
_atom_site_fract_z
Cr1 Cr 0.0649 0.0000 0.1291
Ir1 Ir 0.1857 0.5000 0.3756
Ir2 Ir 0.2585 0.5000 0.9305
Rh1 Rh 0.1639 0.0000 0.6546
Rh2 Rh 0.4310 0.0000 0.1868
Rh3 Rh 0.5000 0.0000 0.5000
```

Principal peaks in the range 2θ from 5° to 70°, sorted by position:
- d 3.732, 23.8°, intensity 37
- d 3.374, 26.4°, intensity 34
- d 2.217, 40.7°, intensity 46
- d 2.186, 41.3°, intensity 100
- d 2.134, 42.4°, intensity 97
- d 2.107, 42.9°, intensity 79
- d 2.096, 43.1°, intensity 50
- d 2.077, 43.6°, intensity 54
- d 2.024, 44.8°, intensity 43
- d 1.925, 47.2°, intensity 36

***

Structure and computed XRD peak list of Cr2IrRh3 (a cell relaxed with GGA-PBE; Cu Kα (λ = 1.5418 Å)).
No peak broadening, texture or thermal motion is included.

Cell and atoms:
```
data_Cr2IrRh3
_chemical_formula_sum 'Cr4 Ir2 Rh6'
_cell_length_a 5.6773
_cell_length_b 5.6773
_cell_length_c 5.6773
_cell_angle_alpha 90.00
_cell_angle_beta 90.00
_cell_angle_gamma 90.00
_symmetry_space_group_name_H-M 'P n -3 m'
_symmetry_Int_Tables_number 224
loop_
_symmetry_equiv_pos_as_xyz
'x,y,z'
'-x,-y,-z'
'-y,x+1/2,z+1/2'
'y,-x+1/2,-z+1/2'
'-x+1/2,-y+1/2,z'
'x+1/2,y+1/2,-z'
'y+1/2,-x,z+1/2'
'-y+1/2,x,-z+1/2'
'x,-y+1/2,-z+1/2'
'-x,y+1/2,z+1/2'
'-y,-x,-z'
'y,x,z'
'-x+1/2,y,-z+1/2'
'x+1/2,-y,z+1/2'
'y+1/2,x+1/2,-z'
'-y+1/2,-x+1/2,z'
'z,x,y'
'-z,-x,-y'
'z+1/2,-y,x+1/2'
'-z+1/2,y,-x+1/2'
'z,-x+1/2,-y+1/2'
'-z,x+1/2,y+1/2'
'z+1/2,y+1/2,-x'
'-z+1/2,-y+1/2,x'
'-z+1/2,x,-y+1/2'
'z+1/2,-x,y+1/2'
'-z,-y,-x'
'z,y,x'
'-z+1/2,-x+1/2,y'
'z+1/2,x+1/2,-y'
'-z,y+1/2,x+1/2'
'z,-y+1/2,-x+1/2'
'y,z,x'
'-y,-z,-x'
'x+1/2,z+1/2,-y'
'-x+1/2,-z+1/2,y'
'-y+1/2,z,-x+1/2'
'y+1/2,-z,x+1/2'
'-x,z+1/2,y+1/2'
'x,-z+1/2,-y+1/2'
'-y+1/2,-z+1/2,x'
'y+1/2,z+1/2,-x'
'-x,-z,-y'
'x,z,y'
'y,-z+1/2,-x+1/2'
'-y,z+1/2,x+1/2'
'x+1/2,-z,y+1/2'
'-x+1/2,z,-y+1/2'
loop_
_atom_site_label
_atom_site_type_symbol
_atom_site_fract_x
_atom_site_fract_y
_atom_site_fract_z
Cr1 Cr 0.0000 0.0000 0.0000
Ir1 Ir 0.2500 0.2500 0.2500
Rh1 Rh 0.2500 0.2500 0.7500
```

Principal peaks in the range 2θ from 5° to 70°, sorted by position:
- d 4.014, 22.1°, intensity 11
- d 3.278, 27.2°, intensity 9
- d 2.839, 31.5°, intensity 57
- d 2.318, 38.9°, intensity 6
- d 2.007, 45.2°, intensity 100
- d 1.795, 50.9°, intensity 3
- d 1.712, 53.5°, intensity 3
- d 1.639, 56.1°, intensity 15
- d 1.517, 61.1°, intensity 3
- d 1.419, 65.8°, intensity 16

***

Structure and computed XRD peak list of V2CrIr5Rh (a cell relaxed with GGA-PBE; Cu Kα (λ = 1.5418 Å)).
No peak broadening, texture or thermal motion is included.

Cell and atoms:
```
data_V2CrIr5Rh
_chemical_formula_sum 'V8 Cr4 Ir20 Rh4'
_cell_length_a 7.0733
_cell_length_b 7.0733
_cell_length_c 10.8979
_cell_angle_alpha 90.00
_cell_angle_beta 90.00
_cell_angle_gamma 90.00
_symmetry_space_group_name_H-M 'I 4/m c m'
_symmetry_Int_Tables_number 140
_symmetry_space_group_name_Hall '-I 4 2c'
loop_
_atom_site_label
_atom_site_type_symbol
_atom_site_fract_x
_atom_site_fract_y
_atom_site_fract_z
V1 V 0.1078 0.3922 0.0000
Cr1 Cr 0.0000 0.0000 0.2500
Ir1 Ir 0.0000 0.0000 0.0000
Ir2 Ir 0.2110 0.2890 0.3701
Rh1 Rh 0.0000 0.5000 0.2500
```

Principal peaks in the range 2θ from 5° to 70°, sorted by position:
- d 3.685, 24.2°, intensity 13
- d 3.537, 25.2°, intensity 15
- d 3.038, 29.4°, intensity 15
- d 2.501, 35.9°, intensity 64
- d 2.386, 37.7°, intensity 27
- d 2.158, 41.9°, intensity 100
- d 2.069, 43.7°, intensity 12
- d 1.695, 54.1°, intensity 18
- d 1.551, 59.6°, intensity 13
- d 1.368, 68.6°, intensity 21

***

Structure and computed XRD peak list of VCr2IrRh5 (a cell relaxed with GGA-PBE; Cu Kα (λ = 1.5418 Å)).
No peak broadening, texture or thermal motion is included.

Cell and atoms:
```
data_VCr2IrRh5
_chemical_formula_sum 'V4 Cr8 Ir4 Rh20'
_cell_length_a 6.9317
_cell_length_b 6.9317
_cell_length_c 10.8944
_cell_angle_alpha 90.00
_cell_angle_beta 90.00
_cell_angle_gamma 90.00
_symmetry_space_group_name_H-M 'I 4/m c m'
_symmetry_Int_Tables_number 140
_symmetry_space_group_name_Hall '-I 4 2c'
loop_
_atom_site_label
_atom_site_type_symbol
_atom_site_fract_x
_atom_site_fract_y
_atom_site_fract_z
V1 V 0.0000 0.0000 0.2500
Cr1 Cr 0.0999 0.4001 0.0000
Ir1 Ir 0.0000 0.5000 0.2500
Rh1 Rh 0.0000 0.0000 0.0000
Rh2 Rh 0.2165 0.2835 0.3687
```

Principal peaks in the range 2θ from 5° to 70°, sorted by position:
- d 4.901, 18.1°, intensity 11
- d 3.644, 24.4°, intensity 22
- d 2.451, 36.7°, intensity 65
- d 2.358, 38.2°, intensity 17
- d 2.141, 42.2°, intensity 100
- d 2.034, 44.6°, intensity 21
- d 1.893, 48.1°, intensity 8
- d 1.733, 52.8°, intensity 13
- d 1.662, 55.3°, intensity 9
- d 1.347, 69.8°, intensity 25

***

Structure and computed XRD peak list of CrIr4Ru2 (a cell relaxed with GGA-PBE; Cu Kα (λ = 1.5418 Å)).
No peak broadening, texture or thermal motion is included.

Cell and atoms:
```
data_CrIr4Ru2
_chemical_formula_sum 'Cr2 Ir8 Ru4'
_cell_length_a 4.6753
_cell_length_b 10.6830
_cell_length_c 4.3067
_cell_angle_alpha 90.00
_cell_angle_beta 90.00
_cell_angle_gamma 90.00
_symmetry_space_group_name_H-M 'P b a m'
_symmetry_Int_Tables_number 55
loop_
_symmetry_equiv_pos_as_xyz
'x,y,z'
'-x,-y,-z'
'-x,-y,z'
'x,y,-z'
'x+1/2,-y+1/2,-z'
'-x+1/2,y+1/2,z'
'-x+1/2,y+1/2,-z'
'x+1/2,-y+1/2,z'
loop_
_atom_site_label
_atom_site_type_symbol
_atom_site_fract_x
_atom_site_fract_y
_atom_site_fract_z
Cr1 Cr 0.0000 0.0000 0.0000
Ir1 Ir 0.0679 0.3089 0.0000
Ir2 Ir 0.2353 0.4371 0.5000
Ru1 Ru 0.2427 0.1779 0.5000
```

Principal peaks in the range 2θ from 5° to 70°, sorted by position:
- d 3.518, 25.3°, intensity 18
- d 3.353, 26.6°, intensity 47
- d 2.833, 31.6°, intensity 27
- d 2.367, 38.0°, intensity 42
- d 2.319, 38.8°, intensity 24
- d 2.153, 42.0°, intensity 56
- d 2.055, 44.1°, intensity 73
- d 2.042, 44.4°, intensity 100
- d 1.578, 58.5°, intensity 14
- d 1.346, 69.9°, intensity 21

***

Structure and computed XRD peak list of CrIrRu3 (a cell relaxed with GGA-PBE; Cu Kα (λ = 1.5418 Å)).
No peak broadening, texture or thermal motion is included.

Cell and atoms:
```
data_CrIrRu3
_chemical_formula_sum 'Cr2 Ir2 Ru6'
_cell_length_a 3.7839
_cell_length_b 5.3763
_cell_length_c 7.1158
_cell_angle_alpha 100.97
_cell_angle_beta 105.40
_cell_angle_gamma 90.06
_symmetry_space_group_name_H-M 'P -1'
_symmetry_Int_Tables_number 2
loop_
_symmetry_equiv_pos_as_xyz
'x,y,z'
'-x,-y,-z'
loop_
_atom_site_label
_atom_site_type_symbol
_atom_site_fract_x
_atom_site_fract_y
_atom_site_fract_z
Cr1 Cr 0.1016 0.0519 0.2035
Ir1 Ir 0.0997 0.5494 0.1996
Ru1 Ru 0.3002 0.1454 0.6008
Ru2 Ru 0.3018 0.6588 0.6042
Ru3 Ru 0.4993 0.2389 0.0004
```

Principal peaks in the range 2θ from 5° to 70°, sorted by position:
- d 5.270, 16.8°, intensity 10
- d 4.615, 19.2°, intensity 3
- d 3.074, 29.0°, intensity 8
- d 2.924, 30.6°, intensity 3
- d 2.610, 34.4°, intensity 3
- d 2.192, 41.2°, intensity 100
- d 2.151, 42.0°, intensity 2
- d 1.901, 47.8°, intensity 32
- d 1.892, 48.1°, intensity 16
- d 1.345, 70.0°, intensity 10

***

Structure and computed XRD peak list of CrIr8Ru3 (a cell relaxed with GGA-PBE; Cu Kα (λ = 1.5418 Å)).
No peak broadening, texture or thermal motion is included.

Cell and atoms:
```
data_CrIr8Ru3
_chemical_formula_sum 'Cr2 Ir16 Ru6'
_cell_length_a 5.8249
_cell_length_b 5.8249
_cell_length_c 11.7790
_cell_angle_alpha 90.00
_cell_angle_beta 90.00
_cell_angle_gamma 90.00
_symmetry_space_group_name_H-M 'I 4/m m m'
_symmetry_Int_Tables_number 139
_symmetry_space_group_name_Hall '-I 4 2'
loop_
_atom_site_label
_atom_site_type_symbol
_atom_site_fract_x
_atom_site_fract_y
_atom_site_fract_z
Cr1 Cr 0.0000 0.0000 0.0000
Ir1 Ir 0.2422 0.2422 0.1208
Ru1 Ru 0.0000 0.0000 0.5000
Ru2 Ru 0.0000 0.5000 0.2500
```

Principal peaks in the range 2θ from 5° to 70°, sorted by position:
- d 3.375, 26.4°, intensity 15
- d 2.945, 30.4°, intensity 25
- d 2.912, 30.7°, intensity 49
- d 2.071, 43.7°, intensity 100
- d 2.059, 44.0°, intensity 49
- d 1.772, 51.6°, intensity 2
- d 1.758, 52.0°, intensity 4
- d 1.688, 54.4°, intensity 20
- d 1.472, 63.1°, intensity 8
- d 1.456, 63.9°, intensity 16

***

Structure and computed XRD peak list of VCrIrRu (a cell relaxed with GGA-PBE; Cu Kα (λ = 1.5418 Å)).
No peak broadening, texture or thermal motion is included.

Cell and atoms:
```
data_VCrIrRu
_chemical_formula_sum 'V2 Cr2 Ir2 Ru2'
_cell_length_a 3.8650
_cell_length_b 3.8650
_cell_length_c 7.2306
_cell_angle_alpha 90.00
_cell_angle_beta 90.00
_cell_angle_gamma 90.00
_symmetry_space_group_name_H-M 'I -4 m 2'
_symmetry_Int_Tables_number 119
_symmetry_space_group_name_Hall 'I -4 -2'
loop_
_atom_site_label
_atom_site_type_symbol
_atom_site_fract_x
_atom_site_fract_y
_atom_site_fract_z
V1 V 0.0000 0.0000 0.0000
Cr1 Cr 0.0000 0.0000 0.5000
Ir1 Ir 0.0000 0.5000 0.7500
Ru1 Ru 0.0000 0.5000 0.2500
```

Principal peaks in the range 2θ from 5° to 70°, sorted by position:
- d 3.615, 24.6°, intensity 22
- d 3.409, 26.1°, intensity 15
- d 2.733, 32.8°, intensity 21
- d 2.180, 41.4°, intensity 100
- d 1.933, 47.0°, intensity 34
- d 1.808, 50.5°, intensity 14
- d 1.704, 53.8°, intensity 11
- d 1.681, 54.6°, intensity 5
- d 1.508, 61.5°, intensity 8
- d 1.366, 68.7°, intensity 11

***

Structure and computed XRD peak list of CrIr2Se (a cell relaxed with GGA-PBE; Cu Kα (λ = 1.5418 Å)).
No peak broadening, texture or thermal motion is included.

Cell and atoms:
```
data_CrIr2Se
_chemical_formula_sum 'Cr3 Ir6 Se3'
_cell_length_a 2.8113
_cell_length_b 2.8113
_cell_length_c 25.8591
_cell_angle_alpha 90.00
_cell_angle_beta 90.00
_cell_angle_gamma 120.00
_symmetry_space_group_name_H-M 'R -3 m'
_symmetry_Int_Tables_number 166
_symmetry_space_group_name_Hall '-R 3 2"'
loop_
_atom_site_label
_atom_site_type_symbol
_atom_site_fract_x
_atom_site_fract_y
_atom_site_fract_z
Cr1 Cr 0.0000 0.0000 0.0000
Ir1 Ir 0.0000 0.0000 0.2564
Se1 Se 0.0000 0.0000 0.5000
```

Principal peaks in the range 2θ from 5° to 70°, sorted by position:
- d 4.310, 20.6°, intensity 36
- d 2.873, 31.1°, intensity 6
- d 2.393, 37.6°, intensity 27
- d 2.278, 39.6°, intensity 100
- d 2.155, 41.9°, intensity 24
- d 1.945, 46.7°, intensity 59
- d 1.773, 51.6°, intensity 9
- d 1.540, 60.1°, intensity 6
- d 1.406, 66.5°, intensity 22
- d 1.347, 69.9°, intensity 14

***

Structure and computed XRD peak list of CrTcIr3 (a cell relaxed with GGA-PBE; Cu Kα (λ = 1.5418 Å)).
No peak broadening, texture or thermal motion is included.

Cell and atoms:
```
data_CrTcIr3
_chemical_formula_sum 'Cr4 Tc4 Ir12'
_cell_length_a 8.5677
_cell_length_b 3.8237
_cell_length_c 8.5457
_cell_angle_alpha 90.00
_cell_angle_beta 90.10
_cell_angle_gamma 90.00
_symmetry_space_group_name_H-M 'C 1 2/m 1'
_symmetry_Int_Tables_number 12
loop_
_symmetry_equiv_pos_as_xyz
'x,y,z'
'-x,-y,-z'
'-x,y,-z'
'x,-y,z'
'x+1/2,y+1/2,z'
'-x+1/2,-y+1/2,-z'
'-x+1/2,y+1/2,-z'
'x+1/2,-y+1/2,z'
loop_
_atom_site_label
_atom_site_type_symbol
_atom_site_fract_x
_atom_site_fract_y
_atom_site_fract_z
Cr1 Cr 0.0497 0.0000 0.1481
Tc1 Tc 0.0489 0.5000 0.6531
Ir1 Ir 0.1458 0.0000 0.4433
Ir2 Ir 0.1457 0.5000 0.9490
Ir3 Ir 0.2478 0.5000 0.2462
```

Principal peaks in the range 2θ from 5° to 70°, sorted by position:
- d 4.283, 20.7°, intensity 7
- d 3.233, 27.6°, intensity 10
- d 3.023, 29.5°, intensity 6
- d 2.209, 40.9°, intensity 100
- d 1.913, 47.5°, intensity 32
- d 1.912, 47.6°, intensity 16
- d 1.616, 57.0°, intensity 2
- d 1.538, 60.2°, intensity 2
- d 1.355, 69.4°, intensity 6
- d 1.352, 69.5°, intensity 25